Starting from a crystal structure in Alexandria, relaxed with PBE, the powder diffraction line list of Zr4HgI8 was calculated for Cu Kα (λ = 1.5418 Å).
Peak positions follow from Bragg's law for the DFT cell and can differ from measured ones.

Largest 10 diffraction maxima, low angle first, 10° ≤ 2θ ≤ 90°:
25.02°, intensity 33
26.21°, intensity 42
29.25°, intensity 100
29.71°, intensity 90
33.51°, intensity 53
34.23°, intensity 25
34.36°, intensity 55
34.49°, intensity 26
44.45°, intensity 38
48.26°, intensity 29

Cell and atoms:
```
Zr4HgI8
1.0
10.686 -1.886 0.000
10.686 1.886 0.000
-10.219 0.000 10.918
Zr Hg I
4 1 8
direct
0.000 0.000 0.000
0.387 0.387 0.762
0.509 0.509 0.393
0.877 0.877 0.368
0.694 0.694 0.881
0.017 0.017 0.823
0.040 0.040 0.274
0.060 0.060 0.583
0.327 0.327 0.178
0.347 0.347 0.488
0.370 0.370 0.939
0.646 0.646 0.156
0.741 0.741 0.607
```

***

Starting from a crystal structure in Alexandria, relaxed with PBE, the powder diffraction line list of TmAl4Tc was calculated for Cu Kα (λ = 1.5418 Å).
Peak positions follow from Bragg's law for the DFT cell and can differ from measured ones.

Largest 10 diffraction maxima, low angle first, 10° ≤ 2θ ≤ 90°:
24.39°, intensity 100
25.20°, intensity 26
25.91°, intensity 48
30.32°, intensity 48
33.34°, intensity 26
36.46°, intensity 64
37.52°, intensity 35
39.84°, intensity 95
44.79°, intensity 44
55.13°, intensity 39

Cell and atoms:
```
TmAl4Tc
1.0
2.261 -7.068 0.000
2.261 7.068 0.000
0.000 0.000 6.877
Tm Al Tc
2 8 2
direct
0.119 0.881 0.750
0.881 0.119 0.250
0.083 0.917 0.250
0.263 0.737 0.077
0.263 0.737 0.423
0.500 0.500 0.000
0.500 0.500 0.500
0.737 0.263 0.577
0.737 0.263 0.923
0.917 0.083 0.750
0.342 0.658 0.750
0.658 0.342 0.250
```